This entry pairs a crystal structure of LaAl2ZnPd with its calculated powder diffractogram. Radiation: Cu Kα (λ = 1.5418 Å). Structure: a cell relaxed with GGA-PBE.

Atomic structure:
```
10
Lattice="4.3259 0.0000 0.0000 0.0000 4.3939 0.0000 0.0000 0.0000 10.7567" Properties=species:S:1:pos:R:3 pbc="T T T"
La 0.0000 0.0000 0.0000
La 2.1630 2.1970 5.3784
Al 0.0000 0.0000 4.2426
Al 0.0000 2.1970 2.6755
Al 2.1630 0.0000 8.0539
Al 2.1630 2.1970 9.6209
Zn 0.0000 2.1970 8.1271
Zn 2.1630 0.0000 2.7487
Pd 0.0000 0.0000 6.7225
Pd 2.1630 2.1970 1.3441
```

The 8 most intense peaks (15 to 90 degrees two-theta), most intense first:
d 2.674, I 100; d 2.778, I 53; d 2.761, I 39; d 3.083, I 33; d 2.197, I 29; d 2.163, I 28; d 4.014, I 27; d 1.927, I 26



This entry pairs a crystal structure of LaPm2Al2 with its calculated powder diffractogram. Radiation: Cu Kα (λ = 1.5418 Å). Structure: a cell relaxed with GGA-PBE.

Atomic structure:
```
10
Lattice="4.5586 0.0000 0.0000 0.0000 16.7616 0.0000 0.0000 0.0000 3.6446" Properties=species:S:1:pos:R:3 pbc="T T T"
La 0.0000 0.0000 0.0000
La 2.2793 8.3808 0.0000
Pm 0.0000 6.1609 1.8223
Pm 0.0000 10.6007 1.8223
Pm 2.2793 2.2199 1.8223
Pm 2.2793 14.5418 1.8223
Al 0.0000 3.4412 0.0000
Al 0.0000 13.3204 0.0000
Al 2.2793 4.9396 0.0000
Al 2.2793 11.8220 0.0000
```

The 8 most intense peaks (15 to 90 degrees two-theta), most intense first:
d 2.806, I 100; d 3.532, I 81; d 2.750, I 78; d 2.701, I 44; d 1.755, I 41; d 1.832, I 29; d 2.279, I 27; d 1.619, I 17



This entry pairs a crystal structure of La4Pm5Al with its calculated powder diffractogram. Radiation: Cu Kα (λ = 1.5418 Å). Structure: a cell relaxed with GGA-PBE.

Atomic structure:
```
10
Lattice="-5.4450 5.4450 2.9626 5.4450 -5.4450 2.9626 5.4450 5.4450 -2.9626" Properties=species:S:1:pos:R:3 pbc="T T T"
La 3.3395 0.0000 0.0000
La 7.5505 0.0000 0.0000
La 0.0000 3.3395 0.0000
La 0.0000 7.5505 0.0000
Pm 3.4561 3.4561 -0.0569
Pm 1.9889 -1.9889 2.9057
Pm -1.9889 1.9889 2.9057
Pm 1.9889 1.9889 2.9057
Pm 0.0000 0.0000 4.7537
Al 0.0000 0.0000 1.6821
```

The 8 most intense peaks (15 to 90 degrees two-theta), most intense first:
d 3.095, I 100; d 2.567, I 34; d 2.963, I 18; d 1.940, I 17; d 1.566, I 17; d 1.734, I 17; d 2.602, I 11; d 2.691, I 10



This entry pairs a crystal structure of LaPmSmAl with its calculated powder diffractogram. Radiation: Cu Kα (λ = 1.5418 Å). Structure: a cell relaxed with GGA-PBE.

Atomic structure:
```
8
Lattice="4.8229 0.0000 0.0000 0.0000 4.8229 0.0000 0.0000 0.0000 10.0640" Properties=species:S:1:pos:R:3 pbc="T T T"
La 0.0000 0.0000 0.0000
La 2.4114 2.4114 5.0320
Pm 0.0000 2.4114 7.5480
Pm 2.4114 0.0000 2.5160
Sm 0.0000 2.4114 2.5160
Sm 2.4114 0.0000 7.5480
Al 0.0000 0.0000 5.0320
Al 2.4114 2.4114 0.0000
```

The 8 most intense peaks (15 to 90 degrees two-theta), most intense first:
d 2.823, I 100; d 2.411, I 32; d 1.460, I 27; d 1.741, I 24; d 2.516, I 18; d 4.349, I 17; d 1.505, I 15; d 1.412, I 12



This entry pairs a crystal structure of La6Pr8Al with its calculated powder diffractogram. Radiation: Cu Kα (λ = 1.5418 Å). Structure: a cell relaxed with GGA-PBE.

Atomic structure:
```
15
Lattice="9.6464 0.0000 0.0000 -4.8232 8.3541 0.0000 0.0000 0.0000 6.6494" Properties=species:S:1:pos:R:3 pbc="T T T"
La -2.2215 5.3853 1.1625
La 1.2702 3.7375 1.1625
La 3.8719 0.7687 5.4869
La 0.9513 7.5853 1.1625
La 3.5530 4.6165 5.4869
La 7.0447 2.9688 5.4869
Pr -3.3473 6.5346 4.5985
Pr 0.8377 2.1880 4.5985
Pr 2.3137 0.3685 2.0509
Pr 0.0000 5.5694 4.2883
Pr 4.8232 2.7847 2.3611
Pr 2.5095 7.9856 4.5985
Pr 3.9855 6.1661 2.0509
Pr 8.1705 1.8195 2.0509
Al 0.0000 0.0000 0.0000
```

The 8 most intense peaks (15 to 90 degrees two-theta), most intense first:
d 2.852, I 100; d 3.158, I 26; d 2.737, I 22; d 1.823, I 17; d 3.325, I 15; d 3.089, I 15; d 1.536, I 13; d 2.290, I 9



This entry pairs a crystal structure of LaPrAl2 with its calculated powder diffractogram. Radiation: Cu Kα (λ = 1.5418 Å). Structure: a cell relaxed with GGA-PBE.

Atomic structure:
```
16
Lattice="4.7375 0.0000 0.0000 0.0000 13.1578 0.0000 0.0000 0.0000 7.2512" Properties=species:S:1:pos:R:3 pbc="T T T"
La 0.0000 0.8135 1.8128
La 0.0000 12.3443 5.4384
La 2.3688 5.7654 5.4384
La 2.3688 7.3924 1.8128
Pr 0.0000 2.9472 5.4384
Pr 0.0000 10.2105 1.8128
Pr 2.3688 3.6316 1.8128
Pr 2.3688 9.5261 5.4384
Al 0.0000 5.3278 0.4910
Al 0.0000 5.3278 3.1346
Al 0.0000 7.8300 4.1166
Al 0.0000 7.8300 6.7602
Al 2.3688 1.2511 4.1166
Al 2.3688 1.2511 6.7602
Al 2.3688 11.9067 0.4910
Al 2.3688 11.9067 3.1346
```

The 8 most intense peaks (15 to 90 degrees two-theta), most intense first:
d 2.942, I 100; d 2.813, I 38; d 3.626, I 34; d 2.996, I 30; d 2.369, I 20; d 4.457, I 20; d 1.933, I 16; d 1.858, I 15



This entry pairs a crystal structure of LaPrAl6 with its calculated powder diffractogram. Radiation: Cu Kα (λ = 1.5418 Å). Structure: a cell relaxed with GGA-PBE.

Atomic structure:
```
8
Lattice="6.5942 0.0000 0.0000 -3.2971 5.7107 0.0000 0.0000 0.0000 4.6580" Properties=species:S:1:pos:R:3 pbc="T T T"
La 0.0000 0.0000 0.0000
Pr 3.2971 1.9036 2.3290
Al -1.3801 3.0104 0.0000
Al 0.0000 2.2215 2.3290
Al -1.3732 4.6000 2.3290
Al 1.3801 3.0104 0.0000
Al 0.0000 5.4007 0.0000
Al 1.3732 4.6000 2.3290
```

The 8 most intense peaks (15 to 90 degrees two-theta), most intense first:
d 2.434, I 100; d 3.610, I 95; d 3.297, I 48; d 1.903, I 29; d 1.499, I 28; d 1.364, I 28; d 2.855, I 26; d 1.958, I 22



This entry pairs a crystal structure of La3PrAl with its calculated powder diffractogram. Radiation: Cu Kα (λ = 1.5418 Å). Structure: a cell relaxed with GGA-PBE.

Atomic structure:
```
10
Lattice="3.7221 0.0000 0.0000 0.0031 9.3684 0.0000 1.8494 2.3198 9.3555" Properties=species:S:1:pos:R:3 pbc="T T T"
La 0.9193 4.1940 4.6330
La 0.9336 3.7010 1.1484
La 0.9341 8.0847 0.8369
La 4.6405 3.6035 8.5186
La 4.6411 7.9872 8.2070
La 4.6553 7.4942 4.7224
Pr 2.7752 10.6558 6.3596
Pr 2.7994 1.0324 2.9959
Al 2.7838 5.6918 6.9105
Al 2.7909 5.9963 2.4449
```

The 8 most intense peaks (15 to 90 degrees two-theta), most intense first:
d 2.914, I 100; d 2.924, I 92; d 2.639, I 88; d 3.112, I 23; d 3.444, I 22; d 1.570, I 21; d 3.195, I 18; d 1.955, I 18



Repeat the sixth record exactly.
This entry pairs a crystal structure of LaPrAl2 with its calculated powder diffractogram. Radiation: Cu Kα (λ = 1.5418 Å). Structure: a cell relaxed with GGA-PBE.

Atomic structure:
```
16
Lattice="4.7375 0.0000 0.0000 0.0000 13.1578 0.0000 0.0000 0.0000 7.2512" Properties=species:S:1:pos:R:3 pbc="T T T"
La 0.0000 0.8135 1.8128
La 0.0000 12.3443 5.4384
La 2.3688 5.7654 5.4384
La 2.3688 7.3924 1.8128
Pr 0.0000 2.9472 5.4384
Pr 0.0000 10.2105 1.8128
Pr 2.3688 3.6316 1.8128
Pr 2.3688 9.5261 5.4384
Al 0.0000 5.3278 0.4910
Al 0.0000 5.3278 3.1346
Al 0.0000 7.8300 4.1166
Al 0.0000 7.8300 6.7602
Al 2.3688 1.2511 4.1166
Al 2.3688 1.2511 6.7602
Al 2.3688 11.9067 0.4910
Al 2.3688 11.9067 3.1346
```

The 8 most intense peaks (15 to 90 degrees two-theta), most intense first:
d 2.942, I 100; d 2.813, I 38; d 3.626, I 34; d 2.996, I 30; d 2.369, I 20; d 4.457, I 20; d 1.933, I 16; d 1.858, I 15